Entry 1:
Calculated powder XRD pattern
Compound: MgFe2O2F2
Radiation: Cu Kα, 1.54184 Å
Structure: a crystal structure in the Materials Project, relaxed with PBE+U
Intensities are scaled so that the largest is 100.

Crystal structure
Cell: 5.224 3.227 5.805 Å, 90.00 95.76 90.00°
Fractional coordinates of all 7 atoms:
Mg  0.000  0.000  0.000
Fe  0.419  0.000  0.705
Fe  0.889  0.500  0.515
O  0.112  0.500  0.838
O  0.536  0.500  0.551
F  0.056  0.000  0.345
F  0.639  0.000  0.021

Main lines, in order of rising 2θ (5 to 70 degrees two-theta):
2θ 15.34, I 100
2θ 24.16, I 31
2θ 31.76, I 37
2θ 35.49, I 83
2θ 37.09, I 61
2θ 55.58, I 38

Entry 2:
Calculated powder XRD pattern
Compound: Li4Fe5P6WO24
Radiation: Cu Kα, 1.54184 Å
Structure: a crystal structure in the Materials Project, relaxed with PBE+U
Intensities are scaled so that the largest is 100.

Crystal structure
Cell: 8.492 8.658 8.680 Å, 62.82 63.57 63.62°
Fractional coordinates of all 40 atoms:
Li  0.000  0.000  0.000
Li  0.101  0.491  0.943
Li  0.549  0.688  0.288
Li  0.890  0.145  0.494
Fe  0.272  0.852  0.650
Fe  0.404  0.998  0.795
Fe  0.606  0.202  0.996
Fe  0.744  0.352  0.144
Fe  0.908  0.501  0.301
P  0.002  0.288  0.700
P  0.195  0.094  0.191
P  0.311  0.593  0.090
P  0.505  0.394  0.596
P  0.697  0.900  0.392
P  0.812  0.800  0.898
W  0.109  0.698  0.502
O  0.005  0.250  0.217
O  0.014  0.758  0.749
O  0.067  0.452  0.652
O  0.152  0.099  0.724
O  0.160  0.519  0.123
O  0.171  0.943  0.393
O  0.206  0.025  0.052
O  0.266  0.655  0.252
O  0.310  0.757  0.910
O  0.359  0.599  0.559
O  0.361  0.143  0.151
O  0.422  0.254  0.635
O  0.503  0.448  0.077
O  0.507  0.925  0.540
O  0.565  0.371  0.747
O  0.657  0.853  0.828
O  0.660  0.411  0.405
O  0.716  0.079  0.233
O  0.724  0.747  0.330
O  0.810  0.946  0.953
O  0.820  0.608  0.053
O  0.855  0.843  0.473
O  0.858  0.276  0.892
O  0.935  0.317  0.548

Main lines, in order of rising 2θ (5 to 70 degrees two-theta):
2θ 19.64, I 100
2θ 23.28, I 27
2θ 32.42, I 34
2θ 32.83, I 29
2θ 33.22, I 26
2θ 34.37, I 57

Entry 3:
Calculated powder XRD pattern
Compound: NaMgMnO2
Radiation: Cu Kα, 1.54184 Å
Structure: a crystal structure in the Materials Project, relaxed with PBE+U
Intensities are scaled so that the largest is 100.

Crystal structure
Cell: 3.002 5.098 5.722 Å, 76.98 89.15 85.97°
Fractional coordinates of all 5 atoms:
Na  0.000  0.000  0.000
Mg  0.501  0.498  0.016
Mn  0.500  0.507  0.513
O  0.010  0.450  0.787
O  0.991  0.559  0.240

Main lines, in order of rising 2θ (5 to 70 degrees two-theta):
2θ 17.90, I 100
2θ 21.14, I 30
2θ 33.92, I 20
2θ 36.25, I 34
2θ 44.34, I 28
2θ 46.05, I 17

Entry 4:
Calculated powder XRD pattern
Compound: MnZnAs2O7
Radiation: Cu Kα, 1.54184 Å
Structure: a crystal structure in the Materials Project, relaxed with PBE+U
Intensities are scaled so that the largest is 100.

Crystal structure
Cell: 7.418 8.868 9.767 Å, 90.00 114.72 90.00°
Fractional coordinates of all 44 atoms:
Mn  0.191  0.051  0.324
Mn  0.191  0.449  0.824
Mn  0.809  0.551  0.176
Mn  0.809  0.949  0.676
Zn  0.279  0.079  0.893
Zn  0.279  0.421  0.393
Zn  0.721  0.579  0.607
Zn  0.721  0.921  0.107
As  0.015  0.728  0.957
As  0.015  0.772  0.457
As  0.435  0.722  0.251
As  0.435  0.778  0.751
As  0.565  0.222  0.249
As  0.565  0.278  0.749
As  0.985  0.228  0.543
As  0.985  0.272  0.043
O  0.040  0.087  0.676
O  0.040  0.413  0.176
O  0.052  0.602  0.392
O  0.052  0.898  0.892
O  0.142  0.235  0.456
O  0.142  0.265  0.956
O  0.245  0.645  0.083
O  0.245  0.855  0.583
O  0.365  0.610  0.788
O  0.365  0.890  0.288
O  0.370  0.231  0.299
O  0.370  0.269  0.799
O  0.472  0.588  0.388
O  0.472  0.912  0.888
O  0.528  0.088  0.112
O  0.528  0.412  0.612
O  0.630  0.731  0.201
O  0.630  0.769  0.701
O  0.635  0.110  0.712
O  0.635  0.390  0.212
O  0.755  0.145  0.417
O  0.755  0.355  0.917
O  0.858  0.735  0.044
O  0.858  0.765  0.544
O  0.948  0.102  0.108
O  0.948  0.398  0.608
O  0.960  0.587  0.824
O  0.960  0.913  0.324

Main lines, in order of rising 2θ (5 to 70 degrees two-theta):
2θ 27.59, I 100
2θ 28.34, I 44
2θ 33.40, I 20
2θ 50.30, I 11
2θ 54.10, I 15
2θ 65.08, I 10

Entry 5:
Calculated powder XRD pattern
Compound: MgCr2Hg2O8
Radiation: Cu Kα, 1.54184 Å
Structure: a crystal structure in the Materials Project, relaxed with PBE+U
Intensities are scaled so that the largest is 100.

Crystal structure
Cell: 5.328 5.328 7.784 Å, 91.33 91.33 79.15°
Fractional coordinates of all 13 atoms:
Mg  0.000  0.000  0.000
Cr  0.153  0.153  0.730
Cr  0.847  0.847  0.270
Hg  0.500  0.500  0.000
Hg  0.500  0.500  0.500
O  0.165  0.768  0.229
O  0.232  0.835  0.771
O  0.253  0.253  0.940
O  0.256  0.256  0.539
O  0.744  0.744  0.461
O  0.747  0.747  0.060
O  0.768  0.165  0.229
O  0.835  0.232  0.771

Main lines, in order of rising 2θ (5 to 70 degrees two-theta):
2θ 16.95, I 100
2θ 21.65, I 52
2θ 26.26, I 68
2θ 28.32, I 73
2θ 28.86, I 79
2θ 35.37, I 44

Entry 6:
Calculated powder XRD pattern
Compound: NaWO4
Radiation: Cu Kα, 1.54184 Å
Structure: a crystal structure in the Materials Project, relaxed with PBE+U
Intensities are scaled so that the largest is 100.

Crystal structure
Cell: 6.217 7.106 8.821 Å, 109.83 97.20 101.76°
Fractional coordinates of all 24 atoms:
Na  0.234  0.268  0.197
Na  0.248  0.557  0.922
Na  0.752  0.443  0.078
Na  0.766  0.732  0.803
W  0.262  0.845  0.355
W  0.279  0.010  0.767
W  0.721  0.990  0.233
W  0.738  0.155  0.645
O  0.013  0.950  0.315
O  0.171  0.596  0.190
O  0.172  0.835  0.862
O  0.193  0.770  0.529
O  0.356  0.260  0.937
O  0.401  0.475  0.668
O  0.410  0.144  0.587
O  0.416  0.017  0.234
O  0.584  0.983  0.766
O  0.590  0.856  0.413
O  0.599  0.525  0.332
O  0.644  0.740  0.063
O  0.807  0.230  0.471
O  0.828  0.165  0.138
O  0.829  0.404  0.810
O  0.987  0.050  0.685

Main lines, in order of rising 2θ (5 to 70 degrees two-theta):
2θ 13.73, I 100
2θ 13.97, I 45
2θ 21.92, I 27
2θ 27.07, I 36
2θ 30.08, I 62
2θ 32.72, I 28